1.
Computed XRD peak list
Compound: Na4Sn
Radiation: Cu Kα (λ = 1.5418 Å)
Structure: DFT lattice parameters and positions (GGA-PBE)
Neutral-atom scattering factors, no anomalous dispersion.

Atomic structure:
Cell lengths 9.6623, 5.5377, 6.3933 Å; angles 90.00, 121.26, 90.00 degrees
Space group C2/m (No. 12)
Symmetry-distinct sites (fractional):
Na1 0.1135 0.0000 0.3381 x4
Na2 0.1993 0.5000 0.0946 x4
Sn1 0.0000 0.5000 0.5000 x2

Top 10 peaks for 2θ = 5–70°, most intense first:
two_theta	I_rel
32.15	100
32.93	91
19.30	70
16.22	60
32.33	49
21.35	45
33.30	44
19.06	37
57.57	36
36.41	34

***

2.
Computed XRD peak list
Compound: Na3Sn5
Radiation: Cu Kα (λ = 1.5418 Å)
Structure: DFT lattice parameters and positions (GGA-PBE)
Neutral-atom scattering factors, no anomalous dispersion.

Atomic structure:
Cell lengths 4.8392, 4.8392, 18.2702 Å; angles 90.00, 90.00, 90.00 degrees
Space group I-4m2 (No. 119)
Symmetry-distinct sites (fractional):
Na1 0.0000 0.0000 0.0000 x2
Na2 0.0000 0.5000 0.1262 x4
Sn1 0.0000 0.0000 0.2437 x4
Sn2 0.0000 0.0000 0.5000 x2
Sn3 0.0000 0.5000 0.6209 x4

Top 10 peaks for 2θ = 5–70°, most intense first:
two_theta	I_rel
32.70	100
37.16	36
64.19	30
55.31	22
18.97	20
23.48	19
39.46	15
53.56	13
68.53	12
67.31	12